Theoretical X-ray diffraction stick pattern of Li7Mn5O12 for copper Kα, from a cell relaxed with PBE+U.

Atomic structure:
a = 5.0447 Å, b = 5.0451 Å, c = 9.9321 Å
α = 78.72°, β = 87.06°, γ = 62.43°
Space group P-1 (No. 2)
Asymmetric unit:
Li: 0.0000 0.0000 0.0000 (multiplicity 1)
Li: 0.0018 0.7536 0.7524 (multiplicity 2)
Li: 0.3288 0.0801 0.7524 (multiplicity 2)
Li: 0.3321 0.5864 0.2424 (multiplicity 2)
Mn: 0.0000 0.5000 0.5000 (multiplicity 1)
Mn: 0.3321 0.3320 0.0000 (multiplicity 2)
Mn: 0.3340 0.8330 0.4988 (multiplicity 2)
O: 0.0144 0.5928 0.1089 (multiplicity 2)
O: 0.0274 0.8468 0.3793 (multiplicity 2)
O: 0.3055 0.4887 0.6174 (multiplicity 2)
O: 0.3546 0.6826 0.8881 (multiplicity 2)
O: 0.3602 0.1792 0.3818 (multiplicity 2)
O: 0.3713 0.9491 0.1090 (multiplicity 2)

Largest 8 diffraction maxima, sorted by position, 2θ = 10–90°:
two_theta	I_rel	hkl
18.2	1000	0 0 2
34.6	188	-1 1 1
36.3	230	2 1 1
41.5	358	-1 1 3
44.2	570	2 1 3
47.0	95	1 2 4
58.1	96	2 1 5
62.0	169	1 2 6